Starting from a cell relaxed with PBE, the powder diffraction line list of NaTb2Cd was calculated for Cu Ka.
Kinematic intensities with the Lorentz-polarization factor, no thermal factor.

Structure:
```
data_NaTb2Cd
_symmetry_space_group_name_H-M 'P 4/m m m'
_symmetry_Int_Tables_number 123
_symmetry_space_group_name_Hall '-P 4 2'
_cell_length_a 3.7793
_cell_length_b 3.7793
_cell_length_c 8.3950
_cell_angle_alpha 90.00
_cell_angle_beta 90.00
_cell_angle_gamma 90.00
loop_
_atom_site_label
_atom_site_type_symbol
_atom_site_fract_x
_atom_site_fract_y
_atom_site_fract_z
_atom_site_occupancy
Na1 Na 0.0000 0.0000 0.0000 1
Tb1 Tb 0.5000 0.5000 0.2877 1
Cd1 Cd 0.0000 0.0000 0.5000 1
```

Main lines, in order of rising 2θ (2θ from 5° to 70°):
2θ (°)	I (rel.)	hkl
10.54	50	0 0 1
21.17	8	0 0 2
23.54	18	1 0 0
31.86	100	1 0 2
33.53	51	1 1 0
35.24	12	1 1 1
40.08	33	1 0 3
48.15	18	2 0 0
55.69	12	1 1 4
58.91	35	2 1 2
64.40	13	2 1 3
65.67	10	1 1 5